Starting from a cell relaxed with PBE+U, the powder X-ray diffraction pattern of Li2SiNiO4 was calculated for Cu Kα X-rays.

Structure:
```
16
Lattice="5.242 0.000 0.000 -0.264 5.335 0.000 -0.002 -0.002 6.290" Properties=species:S:1:pos:R:3 pbc="T T T"
Li 0.000 0.000 0.000
Li 0.498 2.711 4.714
Li 2.587 0.737 1.560
Li 3.089 3.447 3.152
Si 3.125 3.487 0.006
Si 4.942 5.296 3.148
Ni 0.526 2.642 1.545
Ni 2.559 0.799 4.682
O -0.041 3.663 3.125
O 0.571 0.663 4.517
O 0.610 0.665 1.806
O 2.483 2.775 4.954
O 2.513 2.788 1.374
O 2.861 5.118 6.265
O 3.557 0.117 3.132
O 4.773 3.334 6.290
```

Most intense lines, 15 to 90 degrees two-theta, by intensity:
Position (°2θ)  I/Imax
21.84  100
22.09  98
34.25  49
33.06  48
33.60  42
33.23  39
59.74  31
27.25  31
24.40  27
60.69  26
58.71  17
36.59  16